The following is a computed powder XRD pattern of DyPuTeSe2. It was derived from DFT lattice parameters and positions (PBE), using Cu Kα.

Largest 8 diffraction maxima, low angle first, 2θ = 15–90°:
| d/Å | intensity |
| --- | --- |
| 4.333 | 23.4 |
| 3.264 | 100.0 |
| 3.221 | 32.4 |
| 2.927 | 28.5 |
| 2.391 | 27.8 |
| 2.373 | 40.3 |
| 2.277 | 45.5 |
| 1.868 | 41.7 |

Crystal structure
abc: 7.725 7.725 7.725
angles: 145.71 145.71 49.28
Positions (direct):
Dy (0.000, 0.000, 0.000)
Pu (0.263, 0.263, 0.000)
Te (0.636, 0.636, 0.000)
Se (0.386, 0.886, 0.500)
Se (0.886, 0.386, 0.500)

The following is a computed powder XRD pattern of Y6Cu2Rh. It was derived from DFT lattice parameters and positions (PBE), using Cu Kα.

Largest 8 diffraction maxima, low angle first, 2θ = 15–90°:
| d/Å | intensity |
| --- | --- |
| 3.075 | 17.6 |
| 3.025 | 15.5 |
| 2.780 | 86.3 |
| 2.572 | 100.0 |
| 2.564 | 61.0 |
| 2.434 | 41.3 |
| 2.056 | 15.7 |
| 1.571 | 22.9 |

Crystal structure
abc: 8.341 8.341 8.341
angles: 110.07 109.77 108.57
Positions (direct):
Y (0.069, 0.244, 0.825)
Y (0.202, 0.529, 0.327)
Y (0.202, 0.875, 0.673)
Y (0.316, 0.238, 0.554)
Y (0.316, 0.762, 0.077)
Y (0.419, 0.244, 0.175)
Y (0.581, 0.756, 0.825)
Y (0.684, 0.238, 0.923)
Y (0.684, 0.762, 0.446)
Y (0.798, 0.125, 0.327)
Y (0.798, 0.471, 0.673)
Y (0.931, 0.756, 0.175)
Cu (0.000, 0.121, 0.121)
Cu (0.000, 0.879, 0.879)
Cu (0.150, 0.500, 0.650)
Cu (0.850, 0.500, 0.350)
Rh (0.500, 0.000, 0.500)
Rh (0.500, 0.500, 0.000)

The following is a computed powder XRD pattern of YEr4Ge4. It was derived from DFT lattice parameters and positions (PBE), using Cu Kα.

Largest 8 diffraction maxima, low angle first, 2θ = 15–90°:
| d/Å | intensity |
| --- | --- |
| 3.327 | 39.2 |
| 2.881 | 100.0 |
| 2.747 | 59.7 |
| 2.314 | 20.0 |
| 2.090 | 33.4 |
| 2.037 | 35.5 |
| 1.900 | 24.2 |
| 1.753 | 20.1 |

Crystal structure
abc: 9.111 9.111 5.762
angles: 90.00 90.00 90.00
Positions (direct):
Y (0.250, 0.250, 0.250)
Y (0.750, 0.750, 0.750)
Er (0.084, 0.652, 0.138)
Er (0.152, 0.916, 0.638)
Er (0.348, 0.584, 0.638)
Er (0.416, 0.848, 0.138)
Er (0.584, 0.152, 0.862)
Er (0.652, 0.416, 0.362)
Er (0.848, 0.084, 0.362)
Er (0.916, 0.348, 0.862)
Ge (0.031, 0.616, 0.641)
Ge (0.116, 0.969, 0.141)
Ge (0.384, 0.531, 0.141)
Ge (0.469, 0.884, 0.641)
Ge (0.531, 0.116, 0.359)
Ge (0.616, 0.469, 0.859)
Ge (0.884, 0.031, 0.859)
Ge (0.969, 0.384, 0.359)

The following is a computed powder XRD pattern of LiAc2Al4Pd3. It was derived from DFT lattice parameters and positions (PBE), using Cu Kα.

Largest 8 diffraction maxima, low angle first, 2θ = 15–90°:
| d/Å | intensity |
| --- | --- |
| 4.145 | 49.0 |
| 3.204 | 55.8 |
| 2.728 | 100.0 |
| 2.717 | 91.9 |
| 2.266 | 56.7 |
| 1.868 | 34.6 |
| 1.743 | 53.7 |
| 1.381 | 35.8 |

Crystal structure
abc: 4.532 4.532 10.250
angles: 90.00 90.00 90.00
Positions (direct):
Li (0.000, 0.000, 0.000)
Ac (0.000, 0.500, 0.752)
Ac (0.500, 0.000, 0.248)
Al (0.000, 0.000, 0.500)
Al (0.000, 0.500, 0.122)
Al (0.500, 0.000, 0.878)
Al (0.500, 0.500, 0.500)
Pd (0.000, 0.500, 0.373)
Pd (0.500, 0.000, 0.627)
Pd (0.500, 0.500, 0.000)